The following is a calculated XRD peak list of BaYbSn3. It was derived from a DFT-relaxed cell (GGA-PBE, Alexandria), using Cu Kα.

Most intense lines, 2θ from 5° to 70°, by intensity:
2θ = 31.14°, rel. 100, hkl 4 2 2; 2θ = 27.93°, rel. 50, hkl 0 2 4; 2θ = 32.73°, rel. 45, hkl 2 0 6; 2θ = 33.23°, rel. 42, hkl 4 2 3; 2θ = 29.60°, rel. 37, hkl 1 3 1; 2θ = 30.13°, rel. 33, hkl 2 2 4; 2θ = 10.13°, rel. 33, hkl 0 0 2; 2θ = 32.08°, rel. 31, hkl 3 1 5; 2θ = 28.07°, rel. 30, hkl 3 1 4; 2θ = 31.26°, rel. 30, hkl 5 1 2; 2θ = 45.35°, rel. 19, hkl 8 0 0; 2θ = 29.36°, rel. 19, hkl 4 2 0

```
data_BaYbSn3
_cell_length_a 15.999
_cell_length_b 9.367
_cell_length_c 17.470
_cell_angle_alpha 90.00
_cell_angle_beta 90.00
_cell_angle_gamma 90.00
_symmetry_space_group_name_H-M 'C m c e'
_symmetry_Int_Tables_number 64
_symmetry_space_group_name_Hall '-C 2ac 2'
loop_
_atom_site_label
_atom_site_type_symbol
_atom_site_fract_x
_atom_site_fract_y
_atom_site_fract_z
Ba1 Ba 0.000 0.173 0.086
Ba2 Ba 0.215 0.000 0.500
Yb1 Yb 0.134 0.013 0.273
Sn1 Sn 0.000 0.061 0.414
Sn2 Sn 0.000 0.217 0.778
Sn3 Sn 0.118 0.183 0.906
Sn4 Sn 0.223 0.235 0.164
```


The following is a calculated XRD peak list of Ce3Ge3Os2. It was derived from a DFT-relaxed cell (GGA-PBE, Alexandria), using Cu Kα.

Most intense lines, 2θ from 5° to 70°, by intensity:
2θ = 40.79°, rel. 100, hkl 0 2 0; 2θ = 35.37°, rel. 91, hkl 5 1 0; 2θ = 11.43°, rel. 83, hkl 2 0 0; 2θ = 36.85°, rel. 76, hkl 5 1 -1; 2θ = 34.14°, rel. 66, hkl 3 1 1; 2θ = 26.53°, rel. 45, hkl 3 1 0; 2θ = 17.74°, rel. 31, hkl 0 0 1; 2θ = 35.93°, rel. 27, hkl 0 0 2; 2θ = 20.88°, rel. 27, hkl 1 1 0; 2θ = 34.76°, rel. 26, hkl 6 0 0; 2θ = 44.83°, rel. 25, hkl 6 0 -2; 2θ = 64.42°, rel. 23, hkl 9 1 1

```
data_Ce3Ge3Os2
_cell_length_a 15.840
_cell_length_b 4.425
_cell_length_c 5.114
_cell_angle_alpha 90.00
_cell_angle_beta 102.19
_cell_angle_gamma 90.00
_symmetry_space_group_name_H-M 'C 1 2/m 1'
_symmetry_Int_Tables_number 12
loop_
_symmetry_equiv_pos_as_xyz
'x,y,z'
'-x,-y,-z'
'-x,y,-z'
'x,-y,z'
'x+1/2,y+1/2,z'
'-x+1/2,-y+1/2,-z'
'-x+1/2,y+1/2,-z'
'x+1/2,-y+1/2,z'
loop_
_atom_site_label
_atom_site_type_symbol
_atom_site_fract_x
_atom_site_fract_y
_atom_site_fract_z
Ce1 Ce 0.000 0.000 0.000
Ce2 Ce 0.164 0.000 0.580
Ge1 Ge 0.000 0.500 0.500
Ge2 Ge 0.134 0.500 0.052
Os1 Os 0.210 0.000 0.108
```


The following is a calculated XRD peak list of TmMgPdO4. It was derived from a DFT-relaxed cell (GGA-PBE, Alexandria), using Cu Kα.

Most intense lines, 2θ from 5° to 70°, by intensity:
2θ = 17.21°, rel. 100, hkl 1 0 1; 2θ = 34.45°, rel. 79, hkl 0 2 2; 2θ = 32.31°, rel. 65, hkl 1 2 1; 2θ = 39.08°, rel. 58, hkl 2 2 0; 2θ = 59.02°, rel. 51, hkl 2 2 4; 2θ = 17.03°, rel. 46, hkl 0 1 1; 2θ = 34.82°, rel. 38, hkl 2 0 2; 2θ = 32.60°, rel. 29, hkl 2 1 1; 2θ = 42.40°, rel. 23, hkl 0 0 4; 2θ = 44.41°, rel. 21, hkl 1 2 3; 2θ = 51.84°, rel. 20, hkl 3 2 1; 2θ = 68.28°, rel. 15, hkl 4 2 2

```
data_TmMgPdO4
_cell_length_a 6.468
_cell_length_b 6.572
_cell_length_c 8.528
_cell_angle_alpha 90.00
_cell_angle_beta 90.00
_cell_angle_gamma 90.00
_symmetry_space_group_name_H-M 'I m m a'
_symmetry_Int_Tables_number 74
_symmetry_space_group_name_Hall '-I 2b 2'
loop_
_atom_site_label
_atom_site_type_symbol
_atom_site_fract_x
_atom_site_fract_y
_atom_site_fract_z
Tm1 Tm 0.000 0.000 0.000
Mg1 Mg 0.000 0.250 0.392
Pd1 Pd 0.250 0.250 0.750
O1 O 0.000 0.016 0.739
O2 O 0.232 0.250 0.993
```


The following is a calculated XRD peak list of Cs10Rb6Na. It was derived from a DFT-relaxed cell (GGA-PBE, Alexandria), using Cu Kα.

Most intense lines, 2θ from 5° to 70°, by intensity:
2θ = 20.82°, rel. 100, hkl 3 -1 1; 2θ = 21.92°, rel. 82, hkl 1 1 2; 2θ = 21.26°, rel. 48, hkl 3 0 0; 2θ = 18.72°, rel. 32, hkl 2 1 0; 2θ = 33.34°, rel. 29, hkl 3 -1 3; 2θ = 30.72°, rel. 24, hkl 4 -2 2; 2θ = 33.96°, rel. 20, hkl 4 0 2; 2θ = 40.41°, rel. 17, hkl 5 0 2; 2θ = 19.47°, rel. 16, hkl 1 0 2; 2θ = 32.44°, rel. 16, hkl 3 2 1; 2θ = 42.83°, rel. 15, hkl 3 0 4; 2θ = 32.73°, rel. 14, hkl 4 1 0

```
data_Cs10Rb6Na
_cell_length_a 14.4795
_cell_length_b 14.4795
_cell_length_c 9.7860
_cell_angle_alpha 90.00
_cell_angle_beta 90.00
_cell_angle_gamma 120.00
_symmetry_space_group_name_H-M 'P -3 1 m'
_symmetry_Int_Tables_number 162
_symmetry_space_group_name_Hall '-P 3 2'
loop_
_atom_site_label
_atom_site_type_symbol
_atom_site_fract_x
_atom_site_fract_y
_atom_site_fract_z
Cs1 Cs 0.0000 0.2471 0.2616
Cs2 Cs 0.3333 0.6667 0.0000
Cs3 Cs 0.3333 0.6667 0.5000
Rb1 Rb 0.0000 0.3972 0.7604
Na1 Na 0.0000 0.0000 0.0000
```


The following is a calculated XRD peak list of CdMoN. It was derived from a DFT-relaxed cell (GGA-PBE, Alexandria), using Cu Kα.

Most intense lines, 2θ from 5° to 70°, by intensity:
2θ = 39.60°, rel. 100, hkl 1 0 3; 2θ = 31.07°, rel. 91, hkl 1 0 1; 2θ = 42.72°, rel. 64, hkl 1 1 0; 2θ = 34.13°, rel. 44, hkl 0 0 4; 2θ = 55.77°, rel. 40, hkl 1 1 4; 2θ = 62.01°, rel. 20, hkl 2 0 0; 2θ = 16.87°, rel. 20, hkl 0 0 2; 2θ = 69.68°, rel. 9, hkl 1 1 6; 2θ = 34.48°, rel. 7, hkl 1 0 2; 2θ = 61.32°, rel. 7, hkl 1 0 6; 2θ = 52.22°, rel. 6, hkl 0 0 6; 2θ = 25.43°, rel. 6, hkl 0 0 3

```
data_CdMoN
_cell_length_a 2.993
_cell_length_b 2.993
_cell_length_c 10.509
_cell_angle_alpha 90.00
_cell_angle_beta 90.00
_cell_angle_gamma 90.00
_symmetry_space_group_name_H-M 'P 4/n m m'
_symmetry_Int_Tables_number 129
loop_
_symmetry_equiv_pos_as_xyz
'x,y,z'
'-x,-y,-z'
'-y+1/2,x,z'
'y+1/2,-x,-z'
'-x+1/2,-y+1/2,z'
'x+1/2,y+1/2,-z'
'y,-x+1/2,z'
'-y,x+1/2,-z'
'x+1/2,-y,-z'
'-x+1/2,y,z'
'-y,-x,-z'
'y,x,z'
'-x,y+1/2,-z'
'x,-y+1/2,z'
'y+1/2,x+1/2,-z'
'-y+1/2,-x+1/2,z'
loop_
_atom_site_label
_atom_site_type_symbol
_atom_site_fract_x
_atom_site_fract_y
_atom_site_fract_z
Cd1 Cd 0.250 0.250 0.118
Mo1 Mo 0.250 0.250 0.409
N1 N 0.250 0.250 0.615
```